(1)
The following is a computed powder X-ray diffraction pattern of LiMg6Mo. It was derived from a PBE-relaxed structure, using copper Kα.

Main lines, low angle first (10 to 90 degrees two-theta):
hkl 0 0 2, 2θ = 16.6°, I = 33
hkl 0 1 1, 2θ = 16.7°, I = 66
hkl 1 0 0, 2θ = 18.0°, I = 30
hkl 1 0 2, 2θ = 24.7°, I = 33
hkl 0 2 2, 2θ = 33.8°, I = 35
hkl 2 0 0, 2θ = 36.5°, I = 38
hkl 1 0 4, 2θ = 38.4°, I = 53
hkl 1 2 2, 2θ = 38.6°, I = 100

Atomic structure:
a b c (Å): 4.9217 6.1096 10.6666
angles (deg): 90.00 90.00 90.00
Space group Amm2 (No. 38)
Inequivalent atoms, fractional coordinates:
Li 0.0000 0.0000 0.0000 [2 per cell]
Mg 0.0000 0.0000 0.5067 [2 per cell]
Mg 0.0000 0.2347 0.7409 [4 per cell]
Mg 0.5000 0.0000 0.1604 [2 per cell]
Mg 0.5000 0.2493 0.9106 [4 per cell]
Mo 0.5000 0.0000 0.6597 [2 per cell]

(2)
The following is a computed powder X-ray diffraction pattern of Ni4Bi12I3. It was derived from a PBE-relaxed structure, using copper Kα.

Main lines, low angle first (10 to 90 degrees two-theta):
hkl 0 0 4, 2θ = 10.1°, I = 44
hkl 1 3 2, 2θ = 27.9°, I = 100
hkl 1 3 3, 2θ = 28.5°, I = 36
hkl 0 2 11, 2θ = 30.2°, I = 61
hkl 1 3 6, 2θ = 31.5°, I = 29
hkl 1 1 9, 2θ = 32.3°, I = 54
hkl 1 5 8, 2θ = 41.3°, I = 30
hkl 2 0 0, 2θ = 44.3°, I = 33

Atomic structure:
a b c (Å): 4.0857 16.0933 34.9305
angles (deg): 90.00 90.00 90.00
Space group Cmcm (No. 63)
Inequivalent atoms, fractional coordinates:
Ni 0.0000 0.0153 0.1463 [8 per cell]
Ni 0.0000 0.4373 0.1208 [8 per cell]
Bi 0.0000 0.0322 0.5690 [8 per cell]
Bi 0.0000 0.1433 0.1975 [8 per cell]
Bi 0.0000 0.1608 0.6469 [8 per cell]
Bi 0.0000 0.3067 0.0722 [8 per cell]
Bi 0.0000 0.3882 0.6197 [8 per cell]
Bi 0.0000 0.4842 0.1976 [8 per cell]
I 0.0000 0.1796 0.7500 [4 per cell]
I 0.0000 0.3695 0.5236 [8 per cell]

(3)
The following is a computed powder X-ray diffraction pattern of BaCuAs2O7. It was derived from a PBE-relaxed structure, using copper Kα.

Main lines, low angle first (10 to 90 degrees two-theta):
hkl 1 0 2, 2θ = 24.6°, I = 100
hkl 1 2 -1, 2θ = 25.6°, I = 65
hkl 1 1 -4, 2θ = 27.6°, I = 63
hkl 1 2 1, 2θ = 28.8°, I = 38
hkl 1 2 -3, 2θ = 29.3°, I = 49
hkl 2 0 -2, 2θ = 29.7°, I = 92
hkl 0 3 1, 2θ = 32.2°, I = 86
hkl 0 4 0, 2θ = 42.4°, I = 41

Atomic structure:
a b c (Å): 6.0117 8.5250 14.3330
angles (deg): 90.00 112.74 90.00
Space group P2_1/c (No. 14)
Inequivalent atoms, fractional coordinates:
Ba 0.0020 0.1510 0.2128 [4 per cell]
Cu 0.3470 0.6412 0.6211 [4 per cell]
As 0.3354 0.1806 0.0055 [4 per cell]
As 0.4054 0.0342 0.6571 [4 per cell]
O 0.1071 0.1582 0.8922 [4 per cell]
O 0.1667 0.0565 0.6900 [4 per cell]
O 0.2999 0.0881 0.1064 [4 per cell]
O 0.3271 0.1134 0.5332 [4 per cell]
O 0.3366 0.6273 0.7611 [4 per cell]
O 0.3727 0.6494 0.4870 [4 per cell]
O 0.4985 0.6537 0.1512 [4 per cell]

(4)
The following is a computed powder X-ray diffraction pattern of Lu2S3O20. It was derived from a PBE-relaxed structure, using copper Kα.

Main lines, low angle first (10 to 90 degrees two-theta):
hkl 2 0 0, 2θ = 13.5°, I = 28
hkl 2 0 -2, 2θ = 15.3°, I = 100
hkl 1 1 2, 2θ = 18.8°, I = 53
hkl 0 0 4, 2θ = 19.8°, I = 35
hkl 3 1 0, 2θ = 24.6°, I = 39
hkl 2 0 4, 2θ = 26.0°, I = 23
hkl 0 2 0, 2θ = 27.5°, I = 21
hkl 0 2 4, 2θ = 34.0°, I = 27

Atomic structure:
a b c (Å): 13.2797 6.4978 18.2483
angles (deg): 90.00 100.02 90.00
Space group C2/c (No. 15)
Inequivalent atoms, fractional coordinates:
Lu 0.1673 0.0205 0.3961 [8 per cell]
S 0.0000 0.2996 0.2500 [4 per cell]
S 0.2139 0.0279 0.0887 [8 per cell]
O 0.0002 0.1150 0.6344 [8 per cell]
O 0.0343 0.1793 0.4328 [8 per cell]
O 0.0433 0.4385 0.1980 [8 per cell]
O 0.0819 0.1656 0.2912 [8 per cell]
O 0.1477 0.0347 0.1464 [8 per cell]
O 0.1577 0.0731 0.0130 [8 per cell]
O 0.1592 0.4768 0.5677 [8 per cell]
O 0.2041 0.3165 0.8879 [8 per cell]
O 0.2037 0.4631 0.1832 [8 per cell]
O 0.2356 0.3245 0.4130 [8 per cell]

(5)
The following is a computed powder X-ray diffraction pattern of RbNb2PS10. It was derived from a PBE-relaxed structure, using copper Kα.

Main lines, low angle first (10 to 90 degrees two-theta):
hkl 0 1 0, 2θ = 10.9°, I = 65
hkl 1 0 0, 2θ = 12.4°, I = 82
hkl 0 1 1, 2θ = 13.1°, I = 20
hkl 1 1 0, 2θ = 16.6°, I = 100
hkl 0 1 2, 2θ = 18.1°, I = 15
hkl 0 2 0, 2θ = 22.0°, I = 41
hkl 2 0 -4, 2θ = 31.3°, I = 26
hkl 1 1 4, 2θ = 37.2°, I = 19

Atomic structure:
a b c (Å): 7.5688 8.0810 13.1240
angles (deg): 90.00 109.80 90.00
Space group Pc (No. 7)
Inequivalent atoms, fractional coordinates:
Rb 0.0000 0.0067 0.0000 [2 per cell]
Nb 0.4681 0.4433 0.2739 [2 per cell]
Nb 0.4708 0.4426 0.9852 [2 per cell]
P 0.6080 0.1197 0.1586 [2 per cell]
S 0.2184 0.3789 0.8093 [2 per cell]
S 0.2200 0.3808 0.3537 [2 per cell]
S 0.2256 0.4569 0.0820 [2 per cell]
S 0.4081 0.3462 0.6173 [2 per cell]
S 0.4353 0.1258 0.2510 [2 per cell]
S 0.4537 0.1218 0.9947 [2 per cell]
S 0.7152 0.3625 0.1783 [2 per cell]
S 0.7207 0.3789 0.4564 [2 per cell]
S 0.7246 0.3850 0.9011 [2 per cell]
S 0.7981 0.0597 0.7012 [2 per cell]

(6)
The following is a computed powder X-ray diffraction pattern of Pb2OF2. It was derived from a PBE-relaxed structure, using copper Kα.

Main lines, low angle first (10 to 90 degrees two-theta):
hkl 2 0 1, 2θ = 26.2°, I = 100
hkl 2 2 0, 2θ = 30.3°, I = 38
hkl 4 0 0, 2θ = 43.4°, I = 41
hkl 4 2 1, 2θ = 51.4°, I = 32
hkl 2 1 3, 2θ = 52.8°, I = 8
hkl 6 0 1, 2θ = 69.5°, I = 11
hkl 6 2 0, 2θ = 71.6°, I = 9
hkl 6 4 1, 2θ = 85.6°, I = 9

Atomic structure:
a b c (Å): 8.3392 8.3392 5.8808
angles (deg): 90.00 90.00 90.00
Space group P-4m2 (No. 115)
Inequivalent atoms, fractional coordinates:
Pb 0.0000 0.2580 0.2946 [4 per cell]
Pb 0.2376 0.5000 0.8122 [4 per cell]
O 0.0000 0.0000 0.5000 [1 per cell]
O 0.0000 0.5000 0.0250 [2 per cell]
O 0.5000 0.5000 0.0000 [1 per cell]
F 0.2057 0.2057 0.0000 [4 per cell]
F 0.2758 0.2758 0.5000 [4 per cell]